Calculated XRD peak list
Compound: La9Ni5O19
Radiation: copper Kα
Structure: the GGA+U geometry in Alexandria
Peak positions follow from Bragg's law for the DFT cell and can differ from measured ones.

Principal peaks in the range 10° ≤ 2θ ≤ 90°, sorted by position:
| 2theta | d/Å | I (rel.) |
| --- | --- | --- |
| 23.7 | 3.746 | 27 |
| 31.4 | 2.853 | 100 |
| 31.7 | 2.825 | 35 |
| 32.8 | 2.732 | 39 |
| 43.0 | 2.103 | 25 |
| 46.2 | 1.964 | 36 |
| 56.2 | 1.636 | 17 |
| 57.6 | 1.600 | 18 |

Structure:
a = 15.4365 Å, b = 6.7999 Å, c = 14.3868 Å
α = 85.62°, β = 26.05°, γ = 68.32°
Fractional coordinates of all 33 atoms:
La  0.0000  0.0000  0.0000
La  0.0358  0.4334  0.5666
La  0.1594  0.7553  0.2447
La  0.3643  0.5401  0.4599
La  0.4334  0.0358  0.9642
La  0.5401  0.3643  0.6357
La  0.6286  0.8362  0.1638
La  0.7553  0.1594  0.8406
La  0.8362  0.6286  0.3714
Ni  0.0046  0.2044  0.7956
Ni  0.2044  0.0046  0.9954
Ni  0.3912  0.7896  0.2104
Ni  0.6077  0.6077  0.3923
Ni  0.7896  0.3912  0.6088
O  0.1083  0.1083  0.3917
O  0.1570  0.3902  0.6098
O  0.1756  0.9709  0.5271
O  0.2024  0.6305  0.3695
O  0.3232  0.9028  0.5725
O  0.3902  0.1570  0.8430
O  0.4275  0.7985  0.6768
O  0.4435  0.4435  0.5565
O  0.4729  0.6736  0.8244
O  0.5816  0.9606  0.0394
O  0.6083  0.6083  0.8917
O  0.6305  0.2024  0.7976
O  0.6736  0.4729  0.0291
O  0.7985  0.4275  0.0972
O  0.8316  0.9902  0.0098
O  0.9028  0.3232  0.2015
O  0.9606  0.5816  0.4184
O  0.9709  0.1756  0.3264
O  0.9902  0.8316  0.1684